Entry 1:
Structure and simulated powder XRD pattern of SrMn2V2O7 (a cell relaxed with GGA+U; a wavelength of 1.5418 Å).

Top 12 peaks for 2θ from 10° to 90°, by angle:
d/Å  2θ (°)  I/Imax  hkl
3.219  27.71  828  1 0 3
2.758  32.46  829  0 1 5
2.675  33.50  1000  1 1 2
2.305  39.07  204  0 0 8
2.161  41.80  358  1 0 7
2.077  43.56  550  0 2 0
1.889  48.17  395  2 0 0
1.844  49.42  187  0 0 10
1.746  52.41  278  1 2 3
1.559  59.29  282  2 1 5
1.498  61.96  205  1 2 7
1.398  66.95  256  2 2 0

Structural model:
```
data_SrMn2V2O7
_chemical_formula_sum 'Sr2 Mn4 V4 O14'
_cell_length_a 3.778
_cell_length_b 4.155
_cell_length_c 18.442
_cell_angle_alpha 90.00
_cell_angle_beta 90.00
_cell_angle_gamma 90.00
_symmetry_space_group_name_H-M 'I m m m'
_symmetry_Int_Tables_number 71
_symmetry_space_group_name_Hall '-I 2 2'
loop_
_atom_site_label
_atom_site_fract_x
_atom_site_fract_y
_atom_site_fract_z
_atom_site_occupancy
Sr1 0.000 0.000 0.000 1
Mn1 0.000 0.500 0.279 1
V1 0.000 0.000 0.395 1
O1 0.000 0.000 0.280 1
O2 0.000 0.000 0.500 1
O3 0.000 0.500 0.106 1
O4 0.000 0.500 0.393 1
```


Entry 2:
Structure and simulated powder XRD pattern of Sr2YMn2O7 (a cell relaxed with GGA+U; a wavelength of 1.5418 Å).

Top 12 peaks for 2θ from 10° to 90°, by angle:
d/Å  2θ (°)  I/Imax  hkl
2.816  31.78  410  2 0 -1
2.787  32.12  638  1 1 2
2.763  32.41  1000  0 2 0
2.106  42.95  132  0 2 3
1.971  46.06  520  2 2 -1
1.955  46.44  158  0 0 5
1.624  56.67  175  3 1 1
1.612  57.16  107  3 1 -4
1.598  57.68  157  1 3 2
1.595  57.82  195  1 3 -3
1.393  67.19  91  2 2 4
1.383  67.77  86  2 2 -6

Structural model:
```
data_Sr2YMn2O7
_chemical_formula_sum 'Sr4 Y2 Mn4 O14'
_cell_length_a 5.632
_cell_length_b 5.518
_cell_length_c 10.145
_cell_angle_alpha 90.00
_cell_angle_beta 105.49
_cell_angle_gamma 90.00
_symmetry_space_group_name_H-M 'P 1 21/m 1'
_symmetry_Int_Tables_number 11
loop_
_symmetry_equiv_pos_as_xyz
'x,y,z'
'-x,-y,-z'
'-x,y+1/2,-z'
'x,-y+1/2,z'
loop_
_atom_site_label
_atom_site_fract_x
_atom_site_fract_y
_atom_site_fract_z
_atom_site_occupancy
Sr1 0.078 0.250 0.130 1
Sr2 0.253 0.250 0.500 1
Y1 0.457 0.250 0.860 1
Mn1 0.149 0.750 0.303 1
Mn2 0.348 0.750 0.700 1
O1 0.123 0.750 0.108 1
O2 0.128 0.010 0.727 1
O3 0.198 0.750 0.501 1
O4 0.415 0.503 0.314 1
O5 0.491 0.750 0.912 1
```


Entry 3:
Structure and simulated powder XRD pattern of TaMnO4 (a cell relaxed with GGA+U; a wavelength of 1.5418 Å).

Top 12 peaks for 2θ from 10° to 90°, by angle:
d/Å  2θ (°)  I/Imax  hkl
4.710  18.84  556  1 0 0
3.794  23.45  516  0 1 1
3.649  24.39  668  1 1 0
2.998  29.80  1000  1 1 -1
2.913  30.69  894  1 1 1
2.518  35.66  289  0 0 2
2.504  35.87  468  0 2 1
2.193  41.16  261  1 2 1
1.781  51.31  334  1 3 0
1.732  52.85  252  2 2 -1
1.699  53.97  246  2 2 1
1.465  63.50  266  1 3 -2

Structural model:
```
data_TaMnO4
_chemical_formula_sum 'Ta2 Mn2 O8'
_cell_length_a 4.713
_cell_length_b 5.771
_cell_length_c 5.040
_cell_angle_alpha 90.00
_cell_angle_beta 92.24
_cell_angle_gamma 90.00
_symmetry_space_group_name_H-M 'P 1 2/c 1'
_symmetry_Int_Tables_number 13
loop_
_symmetry_equiv_pos_as_xyz
'x,y,z'
'-x,-y,-z'
'-x,y,-z+1/2'
'x,-y,z+1/2'
loop_
_atom_site_label
_atom_site_fract_x
_atom_site_fract_y
_atom_site_fract_z
_atom_site_occupancy
Ta1 0.000 0.167 0.250 1
Mn1 0.500 0.341 0.750 1
O1 0.221 0.113 0.929 1
O2 0.271 0.375 0.426 1
```


Entry 4:
Structure and simulated powder XRD pattern of Ta2MnO6 (a cell relaxed with GGA+U; a wavelength of 1.5418 Å).

Top 12 peaks for 2θ from 10° to 90°, by angle:
d/Å  2θ (°)  I/Imax  hkl
4.467  19.88  197  0 2 1
3.692  24.10  370  1 3 0
3.011  29.67  1000  1 3 1
2.601  34.48  188  0 0 2
2.536  35.40  269  0 6 1
2.127  42.51  144  1 3 2
1.794  50.89  160  1 9 0
1.761  51.94  179  2 0 2
1.740  52.61  286  2 6 1
1.570  58.83  153  1 3 3
1.477  62.92  166  1 9 2
1.474  63.05  126  3 3 1

Structural model:
```
data_Ta2MnO6
_chemical_formula_sum 'Ta8 Mn4 O24'
_cell_length_a 4.783
_cell_length_b 17.423
_cell_length_c 5.203
_cell_angle_alpha 90.00
_cell_angle_beta 90.00
_cell_angle_gamma 90.00
_symmetry_space_group_name_H-M 'P b c n'
_symmetry_Int_Tables_number 60
loop_
_symmetry_equiv_pos_as_xyz
'x,y,z'
'-x,-y,-z'
'-x+1/2,-y+1/2,z+1/2'
'x+1/2,y+1/2,-z+1/2'
'x+1/2,-y+1/2,-z'
'-x+1/2,y+1/2,z'
'-x,y,-z+1/2'
'x,-y,z+1/2'
loop_
_atom_site_label
_atom_site_fract_x
_atom_site_fract_y
_atom_site_fract_z
_atom_site_occupancy
Ta1 0.000 0.054 0.250 1
Ta2 0.000 0.281 0.750 1
Mn1 0.000 0.393 0.250 1
O1 0.216 0.034 0.568 1
O2 0.233 0.371 0.613 1
O3 0.237 0.287 0.072 1
```


Entry 5:
Structure and simulated powder XRD pattern of TaMnTcO6 (a cell relaxed with GGA+U; a wavelength of 1.5418 Å).

Top 12 peaks for 2θ from 10° to 90°, by angle:
d/Å  2θ (°)  I/Imax  hkl
4.668  19.01  579  0 0 2
4.501  19.72  231  1 0 0
4.055  21.92  186  1 0 1
3.240  27.53  1000  1 0 2
2.599  34.51  578  1 1 0
2.271  39.69  521  1 1 2
2.027  44.70  255  2 0 2
1.737  52.71  592  1 1 4
1.598  57.67  240  2 1 2
1.500  61.84  215  3 0 0
1.428  65.33  123  3 0 2
1.135  85.54  138  4 -2 4

Structural model:
```
data_TaMnTcO6
_chemical_formula_sum 'Ta2 Mn2 Tc2 O12'
_cell_length_a 5.1976
_cell_length_b 5.1976
_cell_length_c 9.3367
_cell_angle_alpha 90.00
_cell_angle_beta 90.00
_cell_angle_gamma 120.00
_symmetry_space_group_name_H-M 'P -3 1 c'
_symmetry_Int_Tables_number 163
_symmetry_space_group_name_Hall '-P 3 2c'
loop_
_atom_site_label
_atom_site_fract_x
_atom_site_fract_y
_atom_site_fract_z
_atom_site_occupancy
Ta1 0.3333 0.6667 0.2500 1
Mn1 0.0000 0.0000 0.0000 1
Tc1 0.3333 0.6667 0.7500 1
O1 0.0017 0.3542 0.6348 1
```


Entry 6:
Structure and simulated powder XRD pattern of Ta6Mn2Zn3O20 (a cell relaxed with GGA+U; a wavelength of 1.5418 Å).

Top 12 peaks for 2θ from 10° to 90°, by angle:
d/Å  2θ (°)  I/Imax  hkl
5.006  17.72  142  1 1 0
4.974  17.83  169  1 1 1
4.102  21.66  865  1 -1 1
2.913  30.69  1000  0 2 2
2.885  30.99  318  2 0 2
2.656  33.75  261  2 2 1
2.566  34.96  176  1 1 -2
2.546  35.25  162  1 1 3
2.481  36.20  169  2 -2 0
2.231  40.44  178  3 1 0
1.806  50.54  133  4 0 1
1.784  51.21  311  -3 1 2

Structural model:
```
data_Ta6Mn2Zn3O20
_chemical_formula_sum 'Ta6 Mn2 Zn3 O20'
_cell_length_a 7.241
_cell_length_b 7.299
_cell_length_c 7.735
_cell_angle_alpha 75.62
_cell_angle_beta 76.08
_cell_angle_gamma 86.10
_symmetry_space_group_name_H-M 'P 1'
_symmetry_Int_Tables_number 1
loop_
_symmetry_equiv_pos_as_xyz
'x,y,z'
loop_
_atom_site_label
_atom_site_fract_x
_atom_site_fract_y
_atom_site_fract_z
_atom_site_occupancy
Ta1 0.000 0.000 0.000 1
Ta2 0.141 0.652 0.388 1
Ta3 0.336 0.852 0.618 1
Ta4 0.478 0.520 0.003 1
Ta5 0.636 0.165 0.383 1
Ta6 0.817 0.356 0.628 1
Mn1 0.162 0.207 0.242 1
Mn2 0.685 0.683 0.244 1
Zn1 0.274 0.337 0.771 1
Zn2 0.567 0.035 0.995 1
Zn3 0.813 0.794 0.747 1
O1 0.052 0.255 0.998 1
O2 0.076 0.805 0.585 1
O3 0.099 0.411 0.593 1
O4 0.116 0.893 0.207 1
O5 0.223 0.996 0.799 1
O6 0.240 0.506 0.204 1
O7 0.342 0.610 0.800 1
O8 0.365 0.095 0.415 1
O9 0.397 0.705 0.416 1
O10 0.418 0.258 0.998 1
O11 0.522 0.773 0.012 1
O12 0.562 0.309 0.593 1
O13 0.608 0.914 0.594 1
O14 0.617 0.404 0.204 1
O15 0.717 0.515 0.802 1
O16 0.730 0.016 0.197 1
O17 0.823 0.122 0.814 1
O18 0.865 0.598 0.422 1
O19 0.887 0.211 0.422 1
O20 0.893 0.770 0.985 1
```


Entry 7:
Structure and simulated powder XRD pattern of TbMn2TlO6 (a cell relaxed with GGA+U; a wavelength of 1.5418 Å).

Top 12 peaks for 2θ from 10° to 90°, by angle:
d/Å  2θ (°)  I/Imax  hkl
4.071  21.83  363  0 1 -1
3.996  22.25  290  1 0 0
3.744  23.76  257  -1 1 1
2.917  30.65  589  1 1 -1
2.791  32.07  504  1 -1 1
2.769  32.33  481  0 1 1
2.756  32.49  1000  1 0 -2
2.697  33.21  355  -2 1 1
2.260  39.89  179  0 0 2
2.036  44.51  250  0 2 -2
1.998  45.39  240  2 0 0
1.872  48.63  253  -2 2 2

Structural model:
```
data_TbMn2TlO6
_chemical_formula_sum 'Tb1 Mn2 Tl1 O6'
_cell_length_a 5.409
_cell_length_b 5.530
_cell_length_c 5.540
_cell_angle_alpha 94.83
_cell_angle_beta 118.69
_cell_angle_gamma 115.53
_symmetry_space_group_name_H-M 'P 1'
_symmetry_Int_Tables_number 1
loop_
_symmetry_equiv_pos_as_xyz
'x,y,z'
loop_
_atom_site_label
_atom_site_fract_x
_atom_site_fract_y
_atom_site_fract_z
_atom_site_occupancy
Tb1 0.000 0.000 0.000 1
Mn1 0.552 0.273 0.778 1
Mn2 0.552 0.784 0.268 1
Tl1 0.070 0.524 0.511 1
O1 0.028 0.435 0.065 1
O2 0.086 0.122 0.471 1
O3 0.441 0.022 0.049 1
O4 0.528 0.945 0.580 1
O5 0.572 0.607 0.962 1
O6 0.718 0.586 0.538 1
```


Entry 8:
Structure and simulated powder XRD pattern of Mn2TcO4 (a cell relaxed with GGA+U; a wavelength of 1.5418 Å).

Top 12 peaks for 2θ from 10° to 90°, by angle:
d/Å  2θ (°)  I/Imax  hkl
5.159  17.19  822  0 1 1
3.165  28.20  279  1 1 2
3.129  28.53  218  0 2 0
2.731  32.80  760  0 1 3
2.670  33.57  496  1 2 1
2.653  33.79  1000  2 1 1
2.559  35.06  243  2 0 2
2.278  39.56  218  0 0 4
2.200  41.03  401  2 2 0
1.749  52.30  248  0 1 5
1.699  53.96  318  2 3 1
1.582  58.31  673  2 2 4

Structural model:
```
data_Mn2TcO4
_chemical_formula_sum 'Mn8 Tc4 O16'
_cell_length_a 6.186
_cell_length_b 6.258
_cell_length_c 9.112
_cell_angle_alpha 90.00
_cell_angle_beta 90.00
_cell_angle_gamma 90.00
_symmetry_space_group_name_H-M 'I m m a'
_symmetry_Int_Tables_number 74
_symmetry_space_group_name_Hall '-I 2b 2'
loop_
_atom_site_label
_atom_site_fract_x
_atom_site_fract_y
_atom_site_fract_z
_atom_site_occupancy
Mn1 0.000 0.000 0.000 1
Mn2 0.000 0.250 0.387 1
Tc1 0.250 0.250 0.750 1
O1 0.000 0.025 0.751 1
O2 0.235 0.250 0.973 1
```


Entry 9:
Structure and simulated powder XRD pattern of MnTcO4 (a cell relaxed with GGA+U; a wavelength of 1.5418 Å).

Top 12 peaks for 2θ from 10° to 90°, by angle:
d/Å  2θ (°)  I/Imax  hkl
4.788  18.53  1000  1 0 1
2.996  29.82  384  1 1 2
2.815  31.79  107  2 0 0
2.671  33.55  86  1 0 3
2.427  37.05  147  2 1 1
1.937  46.89  157  2 1 3
1.770  51.65  92  2 0 4
1.658  55.42  115  3 1 2
1.539  60.12  59  3 2 1
1.498  61.94  48  2 2 4
1.475  63.01  60  1 2 5
1.155  83.76  50  1 3 6

Structural model:
```
data_MnTcO4
_chemical_formula_sum 'Mn2 Tc2 O8'
_cell_length_a 5.630
_cell_length_b 5.630
_cell_length_c 9.102
_cell_angle_alpha 90.00
_cell_angle_beta 90.00
_cell_angle_gamma 90.00
_symmetry_space_group_name_H-M 'I -4'
_symmetry_Int_Tables_number 82
loop_
_symmetry_equiv_pos_as_xyz
'x,y,z'
'y,-x,-z'
'-x,-y,z'
'-y,x,-z'
'x+1/2,y+1/2,z+1/2'
'y+1/2,-x+1/2,-z+1/2'
'-x+1/2,-y+1/2,z+1/2'
'-y+1/2,x+1/2,-z+1/2'
loop_
_atom_site_label
_atom_site_fract_x
_atom_site_fract_y
_atom_site_fract_z
_atom_site_occupancy
Mn1 0.000 0.000 0.000 1
Tc1 0.000 0.500 0.250 1
O1 0.104 0.267 0.133 1
```